Diffraction record for Na8B11C5. The powder X-ray diffraction pattern is theoretical, not measured: it uses a structure optimized by DFT (GGA-PBE) and CuKα.

The 6 most intense peaks (15 to 90 degrees two-theta), low angle first:
2θ = 36.38°, d = 2.470 Å, rel. 161, hkl 2 0 1
2θ = 40.99°, d = 2.202 Å, rel. 485, hkl 0 4 2
2θ = 42.03°, d = 2.150 Å, rel. 382, hkl 0 8 0
2θ = 42.20°, d = 2.142 Å, rel. 1000, hkl 2 4 1
2θ = 63.68°, d = 1.461 Å, rel. 176, hkl 2 0 3
2θ = 79.27°, d = 1.209 Å, rel. 170, hkl 2 8 3

Structure:
```
data_Na8B11C5
_cell_length_a 5.637
_cell_length_b 17.197
_cell_length_c 5.127
_cell_angle_alpha 90.00
_cell_angle_beta 90.00
_cell_angle_gamma 90.00
_symmetry_space_group_name_H-M 'C m m 2'
_symmetry_Int_Tables_number 35
loop_
_symmetry_equiv_pos_as_xyz
'x,y,z'
'-x,-y,z'
'-x,y,z'
'x,-y,z'
'x+1/2,y+1/2,z'
'-x+1/2,-y+1/2,z'
'-x+1/2,y+1/2,z'
'x+1/2,-y+1/2,z'
loop_
_atom_site_label
_atom_site_type_symbol
_atom_site_fract_x
_atom_site_fract_y
_atom_site_fract_z
_atom_site_occupancy
Na1 Na 0.000 0.123 0.000 1
Na2 Na 0.000 0.375 0.998 1
Na3 Na 0.250 0.124 0.501 1
B1 B 0.000 0.000 0.317 1
B2 B 0.000 0.000 0.653 1
B3 B 0.000 0.250 0.349 1
B4 B 0.000 0.250 0.677 1
B5 B 0.000 0.500 0.333 1
B6 B 0.238 0.500 0.846 1
B7 B 0.250 0.250 0.134 1
C1 C 0.000 0.500 0.660 1
C2 C 0.245 0.500 0.161 1
C3 C 0.250 0.250 0.835 1
```

Diffraction record for CdH6N2Cl. The powder X-ray diffraction pattern is theoretical, not measured: it uses a structure optimized by DFT (GGA-PBE) and CuKα.

The 6 most intense peaks (15 to 90 degrees two-theta), low angle first:
2θ = 18.03°, d = 4.921 Å, rel. 851, hkl 2 0 0
2θ = 25.60°, d = 3.479 Å, rel. 607, hkl 0 2 1
2θ = 31.49°, d = 2.841 Å, rel. 1000, hkl 2 2 1
2θ = 31.67°, d = 2.826 Å, rel. 419, hkl 0 0 2
2θ = 35.58°, d = 2.523 Å, rel. 357, hkl 1 3 1
2θ = 45.13°, d = 2.009 Å, rel. 354, hkl 4 2 1

Structure:
```
data_CdH6N2Cl
_cell_length_a 9.842
_cell_length_b 8.830
_cell_length_c 5.652
_cell_angle_alpha 90.00
_cell_angle_beta 90.00
_cell_angle_gamma 90.00
_symmetry_space_group_name_H-M 'C m c m'
_symmetry_Int_Tables_number 63
_symmetry_space_group_name_Hall '-C 2c 2'
loop_
_atom_site_label
_atom_site_type_symbol
_atom_site_fract_x
_atom_site_fract_y
_atom_site_fract_z
_atom_site_occupancy
Cd1 Cd 0.000 0.090 0.250 1
H1 H 0.141 0.347 0.103 1
H2 H 0.233 0.241 0.750 1
N1 N 0.165 0.284 0.250 1
Cl1 Cl 0.000 0.337 0.750 1
```

Diffraction record for Ac2LaGe3Pd4. The powder X-ray diffraction pattern is theoretical, not measured: it uses a structure optimized by DFT (GGA-PBE) and CuKα.

The 6 most intense peaks (15 to 90 degrees two-theta), low angle first:
2θ = 30.98°, d = 2.887 Å, rel. 367, hkl 1 0 3
2θ = 32.31°, d = 2.770 Å, rel. 1000, hkl 1 1 2
2θ = 37.61°, d = 2.391 Å, rel. 201, hkl 1 0 4
2θ = 40.11°, d = 2.248 Å, rel. 503, hkl 2 0 0
2θ = 51.53°, d = 1.774 Å, rel. 180, hkl 2 1 3
2θ = 67.99°, d = 1.379 Å, rel. 235, hkl 3 1 2

Structure:
```
data_Ac2LaGe3Pd4
_cell_length_a 4.496
_cell_length_b 4.496
_cell_length_c 11.296
_cell_angle_alpha 90.00
_cell_angle_beta 90.00
_cell_angle_gamma 90.00
_symmetry_space_group_name_H-M 'P -4 m 2'
_symmetry_Int_Tables_number 115
loop_
_symmetry_equiv_pos_as_xyz
'x,y,z'
'y,-x,-z'
'-x,-y,z'
'-y,x,-z'
'-x,y,z'
'-y,-x,-z'
'x,-y,z'
'y,x,-z'
loop_
_atom_site_label
_atom_site_type_symbol
_atom_site_fract_x
_atom_site_fract_y
_atom_site_fract_z
_atom_site_occupancy
Ac1 Ac 0.000 0.500 0.221 1
La1 La 0.000 0.000 0.500 1
Ge1 Ge 0.000 0.500 0.885 1
Ge2 Ge 0.500 0.500 0.500 1
Pd1 Pd 0.000 0.000 0.000 1
Pd2 Pd 0.000 0.500 0.662 1
Pd3 Pd 0.500 0.500 0.000 1
```

Diffraction record for ZnFeCu. The powder X-ray diffraction pattern is theoretical, not measured: it uses a structure optimized by DFT (GGA-PBE) and CuKα.

The 6 most intense peaks (15 to 90 degrees two-theta), low angle first:
2θ = 39.04°, d = 2.307 Å, rel. 153, hkl 3 1 0
2θ = 41.50°, d = 2.176 Å, rel. 167, hkl 0 2 0
2θ = 42.70°, d = 2.118 Å, rel. 351, hkl 0 0 2
2θ = 44.73°, d = 2.026 Å, rel. 1000, hkl 3 1 1
2θ = 46.95°, d = 1.935 Å, rel. 296, hkl 0 2 1
2θ = 79.61°, d = 1.204 Å, rel. 161, hkl 3 1 3

Structure:
```
data_ZnFeCu
_cell_length_a 8.163
_cell_length_b 4.352
_cell_length_c 4.235
_cell_angle_alpha 90.00
_cell_angle_beta 90.00
_cell_angle_gamma 90.00
_symmetry_space_group_name_H-M 'P b c m'
_symmetry_Int_Tables_number 57
loop_
_symmetry_equiv_pos_as_xyz
'x,y,z'
'-x,-y,-z'
'-x,-y,z+1/2'
'x,y,-z+1/2'
'x,-y+1/2,-z'
'-x,y+1/2,z'
'-x,y+1/2,-z+1/2'
'x,-y+1/2,z+1/2'
loop_
_atom_site_label
_atom_site_type_symbol
_atom_site_fract_x
_atom_site_fract_y
_atom_site_fract_z
_atom_site_occupancy
Zn1 Zn 0.248 0.063 0.250 1
Fe1 Fe 0.428 0.571 0.250 1
Cu1 Cu 0.083 0.570 0.250 1
```

Diffraction record for RbTaAg2Te4. The powder X-ray diffraction pattern is theoretical, not measured: it uses a structure optimized by DFT (GGA-PBE) and CuKα.

The 6 most intense peaks (15 to 90 degrees two-theta), low angle first:
2θ = 24.52°, d = 3.631 Å, rel. 1000, hkl 1 1 2
2θ = 25.43°, d = 3.502 Å, rel. 375, hkl 1 2 1
2θ = 32.58°, d = 2.749 Å, rel. 574, hkl 2 2 0
2θ = 36.73°, d = 2.447 Å, rel. 254, hkl 1 2 3
2θ = 37.80°, d = 2.380 Å, rel. 241, hkl 1 3 2
2θ = 40.77°, d = 2.213 Å, rel. 311, hkl 1 1 4

Structure:
```
data_RbTaAg2Te4
_cell_length_a 6.983
_cell_length_b 8.915
_cell_length_c 9.672
_cell_angle_alpha 90.00
_cell_angle_beta 90.00
_cell_angle_gamma 90.00
_symmetry_space_group_name_H-M 'I 2 2 2'
_symmetry_Int_Tables_number 23
loop_
_symmetry_equiv_pos_as_xyz
'x,y,z'
'-x,-y,z'
'x,-y,-z'
'-x,y,-z'
'x+1/2,y+1/2,z+1/2'
'-x+1/2,-y+1/2,z+1/2'
'x+1/2,-y+1/2,-z+1/2'
'-x+1/2,y+1/2,-z+1/2'
loop_
_atom_site_label
_atom_site_type_symbol
_atom_site_fract_x
_atom_site_fract_y
_atom_site_fract_z
_atom_site_occupancy
Rb1 Rb 0.000 0.000 0.000 1
Ta1 Ta 0.000 0.000 0.500 1
Ag1 Ag 0.000 0.500 0.148 1
Te1 Te 0.196 0.185 0.339 1
```

Diffraction record for CaTb3Pd6. The powder X-ray diffraction pattern is theoretical, not measured: it uses a structure optimized by DFT (GGA-PBE) and CuKα.

The 6 most intense peaks (15 to 90 degrees two-theta), low angle first:
2θ = 34.70°, d = 2.585 Å, rel. 978, hkl 1 1 3
2θ = 34.85°, d = 2.574 Å, rel. 594, hkl 2 0 -4
2θ = 37.60°, d = 2.392 Å, rel. 272, hkl 0 1 4
2θ = 38.42°, d = 2.343 Å, rel. 1000, hkl 3 1 -1
2θ = 39.13°, d = 2.302 Å, rel. 818, hkl 0 2 0
2θ = 53.39°, d = 1.716 Å, rel. 349, hkl 2 2 -4

Structure:
```
data_CaTb3Pd6
_cell_length_a 8.166
_cell_length_b 4.605
_cell_length_c 11.484
_cell_angle_alpha 90.00
_cell_angle_beta 102.81
_cell_angle_gamma 90.00
_symmetry_space_group_name_H-M 'P 1 21/m 1'
_symmetry_Int_Tables_number 11
loop_
_symmetry_equiv_pos_as_xyz
'x,y,z'
'-x,-y,-z'
'-x,y+1/2,-z'
'x,-y+1/2,z'
loop_
_atom_site_label
_atom_site_type_symbol
_atom_site_fract_x
_atom_site_fract_y
_atom_site_fract_z
_atom_site_occupancy
Ca1 Ca 0.095 0.250 0.411 1
Tb1 Tb 0.187 0.250 0.994 1
Tb2 Tb 0.366 0.750 0.818 1
Tb3 Tb 0.480 0.750 0.375 1
Pd1 Pd 0.041 0.750 0.843 1
Pd2 Pd 0.144 0.750 0.181 1
Pd3 Pd 0.163 0.250 0.714 1
Pd4 Pd 0.289 0.750 0.565 1
Pd5 Pd 0.328 0.250 0.247 1
Pd6 Pd 0.436 0.750 0.081 1
```

Diffraction record for NpTe4Au. The powder X-ray diffraction pattern is theoretical, not measured: it uses a structure optimized by DFT (GGA-PBE) and CuKα.

The 6 most intense peaks (15 to 90 degrees two-theta), low angle first:
2θ = 16.56°, d = 5.354 Å, rel. 573, hkl 1 0 -1
2θ = 18.30°, d = 4.847 Å, rel. 1000, hkl 0 2 0
2θ = 30.97°, d = 2.887 Å, rel. 921, hkl 2 0 -1
2θ = 35.04°, d = 2.561 Å, rel. 561, hkl 1 0 2
2θ = 36.23°, d = 2.480 Å, rel. 480, hkl 2 2 -1
2θ = 37.06°, d = 2.426 Å, rel. 859, hkl 0 4 0

Structure:
```
data_NpTe4Au
_cell_length_a 5.775
_cell_length_b 9.695
_cell_length_c 7.704
_cell_angle_alpha 90.00
_cell_angle_beta 112.00
_cell_angle_gamma 90.00
_symmetry_space_group_name_H-M 'P 1 21/m 1'
_symmetry_Int_Tables_number 11
loop_
_symmetry_equiv_pos_as_xyz
'x,y,z'
'-x,-y,-z'
'-x,y+1/2,-z'
'x,-y+1/2,z'
loop_
_atom_site_label
_atom_site_type_symbol
_atom_site_fract_x
_atom_site_fract_y
_atom_site_fract_z
_atom_site_occupancy
Np1 Np 0.084 0.250 0.170 1
Te1 Te 0.096 0.567 0.192 1
Te2 Te 0.292 0.250 0.585 1
Te3 Te 0.446 0.750 0.891 1
Au1 Au 0.258 0.750 0.515 1
```

Diffraction record for CsLi2ThCl8. The powder X-ray diffraction pattern is theoretical, not measured: it uses a structure optimized by DFT (GGA-PBE) and CuKα.

The 6 most intense peaks (15 to 90 degrees two-theta), low angle first:
2θ = 18.09°, d = 4.904 Å, rel. 483, hkl 0 0 2
2θ = 22.74°, d = 3.911 Å, rel. 540, hkl 1 1 -2
2θ = 23.46°, d = 3.791 Å, rel. 845, hkl 1 1 2
2θ = 24.07°, d = 3.697 Å, rel. 457, hkl 3 1 0
2θ = 31.17°, d = 2.870 Å, rel. 1000, hkl 0 2 2
2θ = 34.67°, d = 2.587 Å, rel. 361, hkl 2 2 2

Structure:
```
data_CsLi2ThCl8
_cell_length_a 13.040
_cell_length_b 7.071
_cell_length_c 9.831
_cell_angle_alpha 90.00
_cell_angle_beta 93.83
_cell_angle_gamma 90.00
_symmetry_space_group_name_H-M 'C 1 2/m 1'
_symmetry_Int_Tables_number 12
loop_
_symmetry_equiv_pos_as_xyz
'x,y,z'
'-x,-y,-z'
'-x,y,-z'
'x,-y,z'
'x+1/2,y+1/2,z'
'-x+1/2,-y+1/2,-z'
'-x+1/2,y+1/2,-z'
'x+1/2,-y+1/2,z'
loop_
_atom_site_label
_atom_site_type_symbol
_atom_site_fract_x
_atom_site_fract_y
_atom_site_fract_z
_atom_site_occupancy
Cs1 Cs 0.000 0.000 0.000 1
Li1 Li 0.179 0.500 0.740 1
Th1 Th 0.000 0.000 0.500 1
Cl1 Cl 0.051 0.255 0.698 1
Cl2 Cl 0.191 0.000 0.418 1
Cl3 Cl 0.230 0.500 0.977 1
```

Diffraction record for TbPm2Sm2Ho. The powder X-ray diffraction pattern is theoretical, not measured: it uses a structure optimized by DFT (GGA-PBE) and CuKα.

The 6 most intense peaks (15 to 90 degrees two-theta), low angle first:
2θ = 31.18°, d = 2.869 Å, rel. 916, hkl 2 0 2
2θ = 31.43°, d = 2.846 Å, rel. 1000, hkl 0 2 0
2θ = 44.86°, d = 2.021 Å, rel. 336, hkl 2 2 2
2θ = 55.80°, d = 1.648 Å, rel. 351, hkl 2 3 1
2θ = 55.95°, d = 1.643 Å, rel. 194, hkl 0 3 3
2θ = 61.89°, d = 1.499 Å, rel. 289, hkl 4 2 0

Structure:
```
data_TbPm2Sm2Ho
_cell_length_a 7.055
_cell_length_b 5.692
_cell_length_c 9.862
_cell_angle_alpha 90.00
_cell_angle_beta 90.00
_cell_angle_gamma 90.00
_symmetry_space_group_name_H-M 'P m m a'
_symmetry_Int_Tables_number 51
loop_
_symmetry_equiv_pos_as_xyz
'x,y,z'
'-x,-y,-z'
'-x+1/2,-y,z'
'x+1/2,y,-z'
'x+1/2,-y,-z'
'-x+1/2,y,z'
'-x,y,-z'
'x,-y,z'
loop_
_atom_site_label
_atom_site_type_symbol
_atom_site_fract_x
_atom_site_fract_y
_atom_site_fract_z
_atom_site_occupancy
Tb1 Tb 0.000 0.000 0.000 1
Pm1 Pm 0.250 0.000 0.339 1
Pm2 Pm 0.250 0.500 0.829 1
Sm1 Sm 0.000 0.500 0.500 1
Sm2 Sm 0.250 0.000 0.675 1
Ho1 Ho 0.250 0.500 0.161 1
```

Diffraction record for K3Ce3SmS8. The powder X-ray diffraction pattern is theoretical, not measured: it uses a structure optimized by DFT (GGA-PBE) and CuKα.

The 6 most intense peaks (15 to 90 degrees two-theta), low angle first:
2θ = 24.88°, d = 3.579 Å, rel. 540, hkl 2 2 0
2θ = 27.48°, d = 3.245 Å, rel. 567, hkl 2 2 1
2θ = 34.21°, d = 2.621 Å, rel. 1000, hkl 4 0 -2
2θ = 43.37°, d = 2.086 Å, rel. 199, hkl 2 2 -3
2θ = 43.81°, d = 2.066 Å, rel. 340, hkl 6 2 0
2θ = 45.45°, d = 1.996 Å, rel. 200, hkl 6 2 -1

Structure:
```
data_K3Ce3SmS8
_cell_length_a 14.312
_cell_length_b 8.267
_cell_length_c 7.699
_cell_angle_alpha 90.00
_cell_angle_beta 90.16
_cell_angle_gamma 90.00
_symmetry_space_group_name_H-M 'C 1 2/m 1'
_symmetry_Int_Tables_number 12
loop_
_symmetry_equiv_pos_as_xyz
'x,y,z'
'-x,-y,-z'
'-x,y,-z'
'x,-y,z'
'x+1/2,y+1/2,z'
'-x+1/2,-y+1/2,-z'
'-x+1/2,y+1/2,-z'
'x+1/2,-y+1/2,z'
loop_
_atom_site_label
_atom_site_type_symbol
_atom_site_fract_x
_atom_site_fract_y
_atom_site_fract_z
_atom_site_occupancy
K1 K 0.000 0.000 0.000 1
K2 K 0.250 0.250 0.000 1
Ce1 Ce 0.000 0.500 0.500 1
Ce2 Ce 0.250 0.250 0.500 1
Sm1 Sm 0.000 0.000 0.500 1
S1 S 0.085 0.247 0.693 1
S2 S 0.167 0.000 0.297 1
S3 S 0.169 0.500 0.307 1
```

Diffraction record for TbTmSbSe. The powder X-ray diffraction pattern is theoretical, not measured: it uses a structure optimized by DFT (GGA-PBE) and CuKα.

The 6 most intense peaks (15 to 90 degrees two-theta), low angle first:
2θ = 29.80°, d = 2.998 Å, rel. 1000, hkl 1 1 0
2θ = 30.00°, d = 2.978 Å, rel. 491, hkl 0 0 2
2θ = 42.65°, d = 2.120 Å, rel. 376, hkl 2 0 0
2θ = 42.80°, d = 2.113 Å, rel. 745, hkl 1 1 2
2θ = 53.02°, d = 1.727 Å, rel. 397, hkl 2 0 2
2θ = 78.18°, d = 1.223 Å, rel. 254, hkl 3 1 2

Structure:
```
data_TbTmSbSe
_cell_length_a 4.240
_cell_length_b 4.240
_cell_length_c 5.957
_cell_angle_alpha 90.00
_cell_angle_beta 90.00
_cell_angle_gamma 90.00
_symmetry_space_group_name_H-M 'P 4 m m'
_symmetry_Int_Tables_number 99
loop_
_symmetry_equiv_pos_as_xyz
'x,y,z'
'-y,x,z'
'-x,-y,z'
'y,-x,z'
'-x,y,z'
'y,x,z'
'x,-y,z'
'-y,-x,z'
loop_
_atom_site_label
_atom_site_type_symbol
_atom_site_fract_x
_atom_site_fract_y
_atom_site_fract_z
_atom_site_occupancy
Tb1 Tb 0.000 0.000 0.000 1
Tm1 Tm 0.500 0.500 0.499 1
Sb1 Sb 0.500 0.500 0.999 1
Se1 Se 0.000 0.000 0.500 1
```

Diffraction record for InSbH. The powder X-ray diffraction pattern is theoretical, not measured: it uses a structure optimized by DFT (GGA-PBE) and CuKα.

The 6 most intense peaks (15 to 90 degrees two-theta), low angle first:
2θ = 16.38°, d = 5.413 Å, rel. 739, hkl 0 1 0
2θ = 27.65°, d = 3.227 Å, rel. 618, hkl 1 1 0
2θ = 29.66°, d = 3.012 Å, rel. 722, hkl 1 -1 1
2θ = 30.43°, d = 2.938 Å, rel. 1000, hkl -1 1 1
2θ = 30.75°, d = 2.907 Å, rel. 954, hkl 1 1 2
2θ = 32.68°, d = 2.741 Å, rel. 539, hkl 0 0 2

Structure:
```
data_InSbH
_cell_length_a 4.599
_cell_length_b 5.886
_cell_length_c 6.319
_cell_angle_alpha 67.49
_cell_angle_beta 70.44
_cell_angle_gamma 87.42
_symmetry_space_group_name_H-M 'P 1'
_symmetry_Int_Tables_number 1
loop_
_symmetry_equiv_pos_as_xyz
'x,y,z'
loop_
_atom_site_label
_atom_site_type_symbol
_atom_site_fract_x
_atom_site_fract_y
_atom_site_fract_z
_atom_site_occupancy
In1 In 0.000 0.000 0.000 1
In2 In 0.378 0.615 0.472 1
Sb1 Sb 0.525 0.496 0.910 1
Sb2 Sb 0.977 0.375 0.343 1
H1 H 0.486 0.937 0.248 1
H2 H 0.608 0.812 0.843 1
```

Diffraction record for Nd2Ga2Fe2C. The powder X-ray diffraction pattern is theoretical, not measured: it uses a structure optimized by DFT (GGA-PBE) and CuKα.

The 6 most intense peaks (15 to 90 degrees two-theta), low angle first:
2θ = 32.70°, d = 2.738 Å, rel. 839, hkl 1 1 1
2θ = 32.89°, d = 2.723 Å, rel. 658, hkl 3 1 -1
2θ = 34.69°, d = 2.586 Å, rel. 1000, hkl 1 1 -2
2θ = 34.87°, d = 2.573 Å, rel. 601, hkl 3 1 -2
2θ = 38.60°, d = 2.332 Å, rel. 770, hkl 3 1 0
2θ = 44.29°, d = 2.045 Å, rel. 551, hkl 0 2 0

Structure:
```
data_Nd2Ga2Fe2C
_cell_length_a 11.102
_cell_length_b 4.091
_cell_length_c 7.220
_cell_angle_alpha 90.00
_cell_angle_beta 129.90
_cell_angle_gamma 90.00
_symmetry_space_group_name_H-M 'C 1 2/m 1'
_symmetry_Int_Tables_number 12
loop_
_symmetry_equiv_pos_as_xyz
'x,y,z'
'-x,-y,-z'
'-x,y,-z'
'x,-y,z'
'x+1/2,y+1/2,z'
'-x+1/2,-y+1/2,-z'
'-x+1/2,y+1/2,-z'
'x+1/2,-y+1/2,z'
loop_
_atom_site_label
_atom_site_type_symbol
_atom_site_fract_x
_atom_site_fract_y
_atom_site_fract_z
_atom_site_occupancy
Nd1 Nd 0.056 0.000 0.288 1
Ga1 Ga 0.171 0.500 0.729 1
Fe1 Fe 0.190 0.500 0.085 1
C1 C 0.000 0.500 0.000 1
```